(1)
Starting from DFT lattice parameters and positions (PBE+U), the X-ray powder pattern of Li2TiVO4 was calculated for CuKα.
Kinematic intensities with the Lorentz-polarization factor, no thermal factor.

Crystal structure
abc: 5.1382 2.9797 5.2177
angles: 90.00 108.90 90.00
Positions (direct):
Li1 0.0000 0.0000 0.0000
Li2 0.5000 0.5000 0.0000
Ti1 0.0000 0.5000 0.5000
V1 0.5000 0.0000 0.5000
O1 0.2294 0.0000 0.7291
O2 0.2368 0.5000 0.2640
O3 0.7632 0.5000 0.7360
O4 0.7706 0.0000 0.2709

Main lines, in order of rising 2θ (10° ≤ 2θ ≤ 80°):
2θ (°)	I (rel.)	h k l
18.0	1000	0 0 1
35.3	277	1 1 0
35.5	128	2 0 -1
37.0	90	2 0 0
42.7	617	1 1 1
42.9	300	2 0 -2
46.7	137	2 0 1
61.8	166	1 1 -3
62.6	159	3 1 -1
78.7	108	2 2 -2



(2)
Starting from DFT lattice parameters and positions (PBE+U), the X-ray powder pattern of Li2TiV5O12 was calculated for CuKα.
Kinematic intensities with the Lorentz-polarization factor, no thermal factor.

Crystal structure
abc: 5.7246 6.8389 13.1221
angles: 99.56 96.79 108.17
Positions (direct):
Li1 0.0000 0.0000 0.0000
Li2 0.1918 0.3922 0.7017
Li3 0.5153 0.0054 0.5027
Li4 0.7085 0.3845 0.1949
Ti1 0.3217 0.6208 0.3106
Ti2 0.8251 0.6215 0.8084
V1 0.0146 0.3265 0.4338
V2 0.0812 0.8597 0.6628
V3 0.1001 0.5358 0.0296
V4 0.2069 0.0571 0.2630
V5 0.4090 0.7891 0.8899
V6 0.4898 0.3561 0.9481
V7 0.6014 0.5168 0.5219
V8 0.6076 0.8633 0.1639
V9 0.6838 0.0736 0.7660
V10 0.8985 0.7699 0.3852
O1 0.0661 0.7362 0.9414
O2 0.1642 0.6948 0.7529
O3 0.1924 0.2877 0.9935
O4 0.2265 0.6670 0.1779
O5 0.2481 0.8803 0.3667
O6 0.2505 0.3871 0.5464
O7 0.3113 0.3548 0.3373
O8 0.4444 0.9963 0.6534
O9 0.4526 0.0861 0.8683
O10 0.4750 0.5031 0.8355
O11 0.4856 0.7015 0.0248
O12 0.5066 0.0847 0.1929
O13 0.5861 0.7379 0.4414
O14 0.6527 0.6700 0.2513
O15 0.7183 0.2860 0.4872
O16 0.7365 0.6539 0.6683
O17 0.7501 0.3955 0.0467
O18 0.7558 0.8952 0.8540
O19 0.8490 0.3592 0.8145
O20 0.9239 0.0470 0.3595
O21 0.9374 0.9826 0.1465
O22 0.9580 0.5002 0.3348
O23 0.9842 0.0784 0.6947
O24 0.9951 0.7229 0.5205

Main lines, in order of rising 2θ (10° ≤ 2θ ≤ 80°):
2θ (°)	I (rel.)	h k l
13.9	644	0 1 0
17.5	278	0 1 -2
19.1	474	1 0 1
21.8	274	0 1 2
28.6	437	0 1 -4
29.1	1000	-1 2 1
33.9	255	2 0 -2
39.9	206	2 0 -4
40.0	214	2 1 -2
53.6	292	1 -1 7



(3)
Starting from DFT lattice parameters and positions (PBE+U), the X-ray powder pattern of Li2TiVO5 was calculated for CuKα.
Kinematic intensities with the Lorentz-polarization factor, no thermal factor.

Crystal structure
abc: 6.7144 6.7144 4.6091
angles: 90.00 90.00 90.00
Positions (direct):
Li1 0.0000 0.0000 0.0000
Li2 0.0000 0.5000 0.0000
Li3 0.5000 0.0000 0.0000
Li4 0.5000 0.5000 0.0000
Ti1 0.2500 0.7500 0.5000
Ti2 0.7500 0.2500 0.5000
V1 0.2500 0.2500 0.3919
V2 0.7500 0.7500 0.6081
O1 0.0312 0.7500 0.7369
O2 0.2500 0.2500 0.7577
O3 0.2500 0.5312 0.2631
O4 0.2500 0.9688 0.2631
O5 0.4688 0.7500 0.7369
O6 0.5312 0.2500 0.2631
O7 0.7500 0.0312 0.7369
O8 0.7500 0.4688 0.7369
O9 0.7500 0.7500 0.2423
O10 0.9688 0.2500 0.2631

Main lines, in order of rising 2θ (10° ≤ 2θ ≤ 80°):
2θ (°)	I (rel.)	h k l
19.3	643	0 0 1
23.4	429	1 0 1
26.6	1000	2 0 0
33.0	879	2 0 1
41.4	146	1 0 2
42.9	216	2 2 1
45.0	156	3 0 1
54.7	298	4 0 0
55.6	218	2 2 2
65.4	203	4 2 1